# 1
Diffraction record for ZnBi6P2O15. The powder diffractogram is computed, not measured: it uses a structure optimized by DFT (GGA-PBE) and Cu Kα, 1.54184 Å.
Peak positions follow from Bragg's law for the DFT cell and can differ from measured ones.

Atomic structure:
```
data_ZnBi6P2O15
_chemical_formula_sum 'Zn4 Bi24 P8 O60'
_cell_length_a 15.471
_cell_length_b 5.524
_cell_length_c 17.205
_cell_angle_alpha 90.00
_cell_angle_beta 104.48
_cell_angle_gamma 90.00
_space_group_name_H-M_alt 'C 1 2 1'
_space_group_IT_number 5
_space_group_name_Hall 'C 2y'
loop_
_atom_site_label
_atom_site_fract_x
_atom_site_fract_y
_atom_site_fract_z
Zn1 0.187 0.000 0.268
Bi1 0.026 0.013 0.905
Bi2 0.026 0.557 0.243
Bi3 0.070 0.010 0.423
Bi4 0.096 0.505 0.588
Bi5 0.143 0.028 0.743
Bi6 0.211 0.492 0.890
P1 0.141 0.437 0.079
P2 0.214 0.491 0.397
O1 0.000 0.266 0.500
O2 0.000 0.759 0.500
O3 0.026 0.750 0.662
O4 0.032 0.244 0.660
O5 0.050 0.395 0.102
O6 0.067 0.926 0.208
O7 0.095 0.736 0.839
O8 0.096 0.226 0.837
O9 0.146 0.274 0.006
O10 0.151 0.708 0.061
O11 0.168 0.708 0.342
O12 0.178 0.488 0.473
O13 0.180 0.253 0.348
O14 0.183 0.013 0.588
O15 0.206 0.413 0.762
O16 0.218 0.349 0.152
```

Principal peaks in the range 2θ = 10–90°, low angle first:
| d [Å] | I (rel.) | hkl |
| --- | --- | --- |
| 7.576 | 23.4 | 2 0 -1 |
| 7.490 | 19.9 | 2 0 0 |
| 3.173 | 100.0 | 3 1 2 |
| 3.064 | 99.5 | 3 1 -4 |
| 2.776 | 30.5 | 0 0 6 |
| 2.762 | 35.9 | 0 2 0 |
| 2.575 | 16.1 | 6 0 -2 |
| 1.958 | 29.9 | 0 2 6 |
| 1.883 | 16.8 | 6 2 -2 |
| 1.647 | 17.2 | 3 3 -4 |

# 2
Diffraction record for AlSiHO4. The powder diffractogram is computed, not measured: it uses a structure optimized by DFT (GGA-PBE) and Cu Kα, 1.54184 Å.
Peak positions follow from Bragg's law for the DFT cell and can differ from measured ones.

Atomic structure:
```
data_AlSiHO4
_chemical_formula_sum 'Al4 Si4 H4 O16'
_cell_length_a 7.074
_cell_length_b 4.407
_cell_length_c 9.289
_cell_angle_alpha 90.00
_cell_angle_beta 129.93
_cell_angle_gamma 90.00
_space_group_name_H-M_alt 'P 1 21/c 1'
_space_group_IT_number 14
_space_group_name_Hall '-P 2ybc'
loop_
_atom_site_label
_atom_site_fract_x
_atom_site_fract_y
_atom_site_fract_z
Al1 0.141 0.027 0.436
Si1 0.406 0.023 0.820
H1 0.138 0.534 0.687
O1 0.130 0.703 0.758
O2 0.138 0.195 0.624
O3 0.374 0.191 0.980
O4 0.393 0.704 0.153
```

Principal peaks in the range 2θ = 10–90°, low angle first:
| d [Å] | I (rel.) | hkl |
| --- | --- | --- |
| 3.728 | 100.0 | 1 1 -1 |
| 2.666 | 68.0 | 2 1 -1 |
| 2.476 | 14.2 | 1 1 -3 |
| 2.082 | 31.9 | 1 1 2 |
| 2.054 | 62.6 | 2 1 -4 |
| 1.611 | 31.1 | 1 2 2 |
| 1.599 | 29.8 | 3 2 -2 |
| 1.598 | 23.5 | 2 2 -4 |
| 1.537 | 15.6 | 4 1 -5 |
| 1.356 | 34.5 | 1 0 -6 |

# 3
Diffraction record for SmMn2Si2. The powder diffractogram is computed, not measured: it uses a structure optimized by DFT (GGA-PBE) and Cu Kα, 1.54184 Å.
Peak positions follow from Bragg's law for the DFT cell and can differ from measured ones.

Atomic structure:
```
data_SmMn2Si2
_chemical_formula_sum 'Sm2 Mn4 Si4'
_cell_length_a 3.942
_cell_length_b 3.942
_cell_length_c 10.413
_cell_angle_alpha 90.00
_cell_angle_beta 90.00
_cell_angle_gamma 90.00
_space_group_name_H-M_alt 'I 4/m m m'
_space_group_IT_number 139
_space_group_name_Hall '-I 4 2'
loop_
_atom_site_label
_atom_site_fract_x
_atom_site_fract_y
_atom_site_fract_z
Sm1 0.000 0.000 0.000
Mn1 0.000 0.500 0.250
Si1 0.000 0.000 0.377
```

Principal peaks in the range 2θ = 10–90°, low angle first:
| d [Å] | I (rel.) | hkl |
| --- | --- | --- |
| 3.686 | 48.0 | 1 0 1 |
| 2.605 | 78.2 | 0 0 4 |
| 2.457 | 100.0 | 1 1 2 |
| 1.971 | 37.3 | 2 0 0 |
| 1.841 | 23.5 | 1 0 5 |
| 1.738 | 12.5 | 2 1 1 |
| 1.572 | 40.2 | 2 0 4 |
| 1.473 | 18.3 | 1 1 6 |
| 1.346 | 16.4 | 2 1 5 |
| 1.212 | 19.6 | 3 1 2 |